Structure and calculated X-ray diffraction stick pattern of Fe3B7ClO13 (DFT lattice parameters and positions (PBE+U); Cu Ka).

Structural model:
a = 8.710 Å, b = 8.710 Å, c = 8.710 Å
α = 60.10°, β = 60.10°, γ = 60.10°
Positions (direct):
Fe  0.038  0.480  0.482
Fe  0.480  0.482  0.038
Fe  0.482  0.038  0.480
Fe  0.538  0.982  0.980
Fe  0.980  0.538  0.982
Fe  0.982  0.980  0.538
B  0.077  0.775  0.080
B  0.080  0.077  0.775
B  0.110  0.110  0.110
B  0.252  0.761  0.255
B  0.255  0.252  0.761
B  0.261  0.752  0.755
B  0.275  0.577  0.580
B  0.577  0.580  0.275
B  0.580  0.275  0.577
B  0.610  0.610  0.610
B  0.752  0.755  0.261
B  0.755  0.261  0.752
B  0.761  0.255  0.252
B  0.775  0.080  0.077
Cl  0.275  0.275  0.275
Cl  0.775  0.775  0.775
O  0.110  0.249  0.724
O  0.115  0.953  0.270
O  0.122  0.693  0.942
O  0.193  0.622  0.442
O  0.209  0.439  0.756
O  0.224  0.749  0.610
O  0.249  0.724  0.110
O  0.256  0.939  0.709
O  0.270  0.115  0.953
O  0.439  0.756  0.209
O  0.442  0.193  0.622
O  0.453  0.615  0.770
O  0.493  0.493  0.493
O  0.610  0.224  0.749
O  0.615  0.770  0.453
O  0.622  0.442  0.193
O  0.693  0.942  0.122
O  0.709  0.256  0.939
O  0.724  0.110  0.249
O  0.749  0.610  0.224
O  0.756  0.209  0.439
O  0.770  0.453  0.615
O  0.939  0.709  0.256
O  0.942  0.122  0.693
O  0.953  0.270  0.115
O  0.993  0.993  0.993

Main lines, low angle first (5 to 70 degrees two-theta):
| 2θ (°) | I_rel |
| --- | --- |
| 20.39 | 23 |
| 25.04 | 55 |
| 28.97 | 100 |
| 32.47 | 54 |
| 41.43 | 53 |
| 43.43 | 37 |
| 49.03 | 48 |
| 53.60 | 22 |